# 1
Starting from a GGA+U-relaxed structure, the X-ray powder pattern of LiMn2F7 was calculated for CuKα.
Kinematic intensities with the Lorentz-polarization factor, no thermal factor.

Structural model:
```
LiMn2F7
1.0
5.6990 0.0000 0.0000
0.2978 6.4848 0.0000
1.7062 2.8045 8.0598
Li Mn F
2 4 14
Cartesian
1.0974 3.4274 2.2004 Li
6.6055 5.8619 5.8594 Li
2.5218 3.3199 5.6066 Mn
1.9461 0.5808 1.3511 Mn
5.7568 8.7085 6.7088 Mn
5.1811 5.9694 2.4533 Mn
1.9155 8.1229 5.9803 F
1.5266 5.3343 1.5578 F
1.9053 3.3346 3.8900 F
2.7391 5.1390 5.6425 F
3.3498 3.1849 7.4382 F
2.3365 2.3401 1.1434 F
3.3190 6.8667 2.8902 F
4.3839 2.4226 5.1696 F
5.3664 6.9492 6.9164 F
4.3531 6.1044 0.6216 F
4.9638 4.1503 2.4174 F
5.7976 5.9547 4.1699 F
6.1763 3.9550 6.5020 F
5.7875 1.1664 2.0796 F
```

Most intense lines, 2θ = 10–90°, sorted by position:
- 2θ 14.5, I 94
- 2θ 15.0, I 100
- 2θ 21.3, I 19
- 2θ 21.8, I 52
- 2θ 22.1, I 89
- 2θ 24.6, I 49
- 2θ 32.1, I 44
- 2θ 37.2, I 49
- 2θ 44.6, I 39
- 2θ 44.8, I 38

# 2
Starting from a GGA+U-relaxed structure, the X-ray powder pattern of Li3MnF6 was calculated for CuKα.
Kinematic intensities with the Lorentz-polarization factor, no thermal factor.

Structural model:
```
Li3MnF6
1.0
5.1200 0.0000 0.0000
0.0000 5.2143 0.0000
-4.8329 0.0000 7.7886
Li Mn F
6 2 12
Cartesian
0.0000 0.0000 0.0000 Li
-2.4165 2.6071 3.8943 Li
-2.4359 0.1953 5.8403 Li
-0.0194 2.4119 1.9459 Li
0.3064 2.8024 5.8427 Li
2.7229 5.0190 1.9484 Li
0.1435 0.0000 3.8943 Mn
2.5600 2.6071 0.0000 Mn
-0.6001 0.4948 1.9488 F
-3.0166 2.1124 5.8432 F
0.9530 3.4767 0.5472 F
-1.4635 4.3448 4.4416 F
1.7988 0.9744 0.5675 F
-0.6176 1.6327 4.4619 F
0.9047 3.5816 3.3268 F
-1.5118 4.2398 7.2211 F
1.7505 0.8695 3.3471 F
-0.6660 1.7376 7.2414 F
3.3036 3.1019 1.9455 F
0.8871 4.7195 5.8398 F
```

Most intense lines, 2θ = 10–90°, sorted by position:
- 2θ 20.5, I 100
- 2θ 21.1, I 33
- 2θ 22.8, I 31
- 2θ 24.4, I 45
- 2θ 36.3, I 16
- 2θ 38.3, I 44
- 2θ 39.2, I 25
- 2θ 40.7, I 18
- 2θ 41.4, I 24
- 2θ 49.9, I 15

# 3
Starting from a GGA+U-relaxed structure, the X-ray powder pattern of Li3MnF5 was calculated for CuKα.
Kinematic intensities with the Lorentz-polarization factor, no thermal factor.

Structural model:
```
Li3MnF5
1.0
6.6145 0.0000 0.0000
0.0000 7.9797 0.0000
0.0000 0.0000 8.2588
Li Mn F
12 4 20
Cartesian
0.0971 0.6256 1.8986 Li
0.0971 3.3642 1.8986 Li
1.3920 5.9847 4.3879 Li
1.9153 1.9949 0.2585 Li
3.2101 4.6155 6.0280 Li
3.2101 7.3540 6.0280 Li
3.4044 0.6256 2.2308 Li
3.4044 3.3642 2.2308 Li
4.6993 5.9847 8.0003 Li
5.2225 1.9949 3.8709 Li
6.5174 4.6155 6.3602 Li
6.5174 7.3540 6.3602 Li
1.5162 1.9949 4.9792 Mn
1.7911 5.9847 0.8498 Mn
4.8235 1.9949 7.4090 Mn
5.0983 5.9847 3.2796 Mn
0.0554 5.9847 7.8323 F
0.4639 1.9949 3.1475 F
0.5853 5.9847 2.6247 F
1.4885 4.1081 5.3857 F
1.4885 7.8614 5.3857 F
1.8188 0.1182 1.2563 F
1.8188 3.8716 1.2563 F
2.7219 1.9949 6.7541 F
2.8434 5.9847 7.2770 F
3.2518 1.9949 3.7029 F
3.3627 5.9847 4.5559 F
3.7711 1.9949 0.9819 F
3.8926 5.9847 1.5047 F
4.7957 4.1081 7.0025 F
4.7957 7.8614 7.0025 F
5.1260 0.1182 2.8731 F
5.1260 3.8716 2.8731 F
6.0292 1.9949 5.6341 F
6.1506 5.9847 5.1113 F
6.5591 1.9949 0.4265 F
```

Most intense lines, 2θ = 10–90°, sorted by position:
- 2θ 15.4, I 29
- 2θ 20.5, I 95
- 2θ 22.3, I 71
- 2θ 25.4, I 100
- 2θ 31.2, I 51
- 2θ 38.1, I 27
- 2θ 44.3, I 35
- 2θ 45.5, I 37
- 2θ 46.7, I 41
- 2θ 55.5, I 33

# 4
Starting from a GGA+U-relaxed structure, the X-ray powder pattern of LiMnF3 was calculated for CuKα.
Kinematic intensities with the Lorentz-polarization factor, no thermal factor.

Structural model:
```
LiMnF3
1.0
6.2409 0.0000 0.0000
0.0000 6.2409 0.0000
0.0000 0.0000 6.2409
Li Mn F
4 4 12
Cartesian
0.8092 0.8092 0.8092 Li
2.3113 5.4317 3.9296 Li
3.9296 2.3113 5.4317 Li
5.4317 3.9296 2.3113 Li
1.0157 2.1047 4.1362 Mn
2.1047 4.1362 1.0157 Mn
4.1362 1.0157 2.1047 Mn
5.2252 5.2252 5.2252 Mn
0.0599 4.7777 0.7868 F
0.7868 0.0599 4.7777 F
1.4632 3.9073 3.0605 F
1.6572 2.3336 6.1810 F
2.3336 6.1810 1.6572 F
3.0605 1.4632 3.9073 F
3.1804 4.5837 5.4541 F
3.9073 3.0605 1.4632 F
4.5837 5.4541 3.1804 F
4.7777 0.7868 0.0599 F
5.4541 3.1804 4.5837 F
6.1810 1.6572 2.3336 F
```

Most intense lines, 2θ = 10–90°, sorted by position:
- 2θ 20.1, I 70
- 2θ 24.7, I 84
- 2θ 28.6, I 20
- 2θ 32.1, I 100
- 2θ 35.2, I 19
- 2θ 43.5, I 24
- 2θ 46.0, I 85
- 2θ 55.1, I 81
- 2θ 61.2, I 23
- 2θ 69.0, I 14

# 5
Starting from a GGA+U-relaxed structure, the X-ray powder pattern of LiMnF5 was calculated for CuKα.
Kinematic intensities with the Lorentz-polarization factor, no thermal factor.

Structural model:
```
LiMnF5
1.0
5.4730 0.0000 0.0000
0.0000 5.4730 0.0000
0.0000 0.0000 11.4921
Li Mn F
4 4 20
Cartesian
0.2950 1.7264 0.0000 Li
1.7264 5.1779 8.6191 Li
3.7466 0.2950 2.8730 Li
5.1779 3.7466 5.7461 Li
1.0109 2.6309 3.1110 Mn
2.6309 4.4621 0.2380 Mn
2.8420 1.0109 5.9840 Mn
4.4621 2.8420 8.8570 Mn
0.0119 3.9880 3.8439 F
0.0627 2.8238 1.5960 F
0.1027 4.2113 9.2113 F
1.2616 0.1027 0.5922 F
1.4849 0.0119 6.7170 F
1.5292 3.1948 11.0906 F
1.5460 2.3528 5.0549 F
2.2782 1.5292 2.4715 F
2.3528 3.9270 2.1819 F
2.6492 0.0627 4.4690 F
2.8238 5.4103 10.2151 F
3.1202 1.5460 7.9279 F
3.1948 3.9438 8.2175 F
3.9270 3.1202 10.8009 F
3.9438 2.2782 5.3445 F
3.9880 5.4610 0.9709 F
4.2113 5.3703 6.3383 F
5.3703 1.2616 3.4653 F
5.4103 2.6492 7.3421 F
5.4610 1.4849 9.5900 F
```

Most intense lines, 2θ = 10–90°, sorted by position:
- 2θ 18.0, I 100
- 2θ 22.4, I 92
- 2θ 23.0, I 36
- 2θ 24.3, I 95
- 2θ 28.4, I 22
- 2θ 32.9, I 22
- 2θ 35.3, I 21
- 2θ 40.0, I 46
- 2θ 47.7, I 21
- 2θ 63.4, I 20

# 6
Starting from a GGA+U-relaxed structure, the X-ray powder pattern of LiMn2F9 was calculated for CuKα.
Kinematic intensities with the Lorentz-polarization factor, no thermal factor.

Structural model:
```
LiMn2F9
1.0
5.3736 0.0000 0.0000
-2.6482 4.7927 0.0000
-0.1081 -0.4907 13.7796
Li Mn F
2 4 18
Cartesian
0.0000 0.0000 0.0000 Li
0.0383 1.6437 6.8542 Li
-0.9205 3.1409 4.2317 Mn
0.0252 3.1944 1.6727 Mn
1.6968 3.0727 11.0854 Mn
2.6780 3.2048 8.5421 Mn
-2.0591 3.8716 10.2330 F
-1.1162 2.4476 8.1679 F
0.3134 -0.1049 7.6113 F
0.3751 1.7814 0.6362 F
-0.8712 4.0779 0.4005 F
0.1543 2.3278 11.4344 F
-0.4776 4.5409 2.9532 F
0.6993 2.4259 3.3071 F
-0.0391 3.9619 5.5139 F
1.8144 2.4006 7.1928 F
2.1647 1.7691 9.7163 F
1.0858 3.9185 9.3676 F
1.5901 3.9890 1.3126 F
2.6224 2.2210 12.3190 F
4.1248 -0.3279 12.1905 F
2.8849 3.8143 4.6131 F
3.8324 2.4037 2.4683 F
4.2889 1.6700 5.2422 F
```

Most intense lines, 2θ = 10–90°, sorted by position:
- 2θ 12.8, I 19
- 2θ 18.5, I 76
- 2θ 19.8, I 10
- 2θ 20.1, I 100
- 2θ 20.1, I 9
- 2θ 25.9, I 10
- 2θ 26.8, I 9
- 2θ 27.4, I 12
- 2θ 38.7, I 11
- 2θ 39.2, I 7

# 7
Starting from a GGA+U-relaxed structure, the X-ray powder pattern of LiMn2F5 was calculated for CuKα.
Kinematic intensities with the Lorentz-polarization factor, no thermal factor.

Structural model:
```
LiMn2F5
1.0
2.0603 -5.2677 0.0000
2.0603 5.2677 0.0000
0.0000 0.0000 10.4918
Li Mn F
2 4 10
Cartesian
2.0603 3.4067 7.8688 Li
2.0603 -3.4067 2.6230 Li
2.0603 3.7994 0.7294 Mn
2.0603 3.7994 4.5165 Mn
2.0603 -3.7994 5.9753 Mn
2.0603 -3.7994 9.7624 Mn
2.0603 4.7048 6.4615 F
2.0603 4.7048 9.2762 F
2.0603 2.7846 2.6230 F
2.0603 2.0028 5.9524 F
2.0603 2.0028 9.7853 F
2.0603 -2.0028 0.7065 F
2.0603 -2.0028 4.5394 F
2.0603 -2.7846 7.8688 F
2.0603 -4.7048 1.2156 F
2.0603 -4.7048 4.0303 F
```

Most intense lines, 2θ = 10–90°, sorted by position:
- 2θ 16.9, I 85
- 2θ 18.9, I 28
- 2θ 23.2, I 100
- 2θ 30.7, I 61
- 2θ 38.3, I 22
- 2θ 43.0, I 19
- 2θ 43.9, I 38
- 2θ 46.6, I 21
- 2θ 54.6, I 21
- 2θ 55.6, I 36

# 8
Starting from a GGA+U-relaxed structure, the X-ray powder pattern of LiMnF3 was calculated for CuKα.
Kinematic intensities with the Lorentz-polarization factor, no thermal factor.

Structural model:
```
LiMnF3
1.0
5.4656 0.0000 0.0000
0.0000 7.9622 0.0000
0.0000 0.0000 5.3829
Li Mn F
4 4 12
Cartesian
0.1138 1.9905 0.0780 Li
2.6190 5.9716 2.7695 Li
2.8466 1.9905 2.6135 Li
5.3518 5.9716 5.3049 Li
0.0000 0.0000 2.6915 Mn
0.0000 3.9811 2.6915 Mn
2.7328 0.0000 0.0000 Mn
2.7328 3.9811 0.0000 Mn
0.5845 5.9716 3.4538 F
0.8949 4.5928 0.8560 F
0.8949 7.3505 0.8560 F
1.8379 0.6117 3.5474 F
1.8379 3.3694 3.5474 F
2.1483 1.9905 0.7623 F
3.3173 5.9716 4.6206 F
3.6277 4.5928 1.8355 F
3.6277 7.3505 1.8355 F
4.5707 0.6117 4.5270 F
4.5707 3.3694 4.5270 F
4.8811 1.9905 1.9291 F
```

Most intense lines, 2θ = 10–90°, sorted by position:
- 2θ 22.3, I 64
- 2θ 23.2, I 100
- 2θ 32.4, I 68
- 2θ 37.2, I 21
- 2θ 37.8, I 25
- 2θ 47.4, I 24
- 2θ 51.7, I 33
- 2θ 53.0, I 39
- 2θ 58.3, I 32
- 2θ 58.9, I 37